[1]
Structure and theoretical powder diffraction line list of KErAuO2 (a PBE-relaxed structure; Cu Kα (λ = 1.5418 Å)).
Lines closer than 0.1° are merged.

Structure:
```
data_KErAuO2
_cell_length_a 6.653
_cell_length_b 5.438
_cell_length_c 6.401
_cell_angle_alpha 90.00
_cell_angle_beta 95.57
_cell_angle_gamma 90.00
_symmetry_space_group_name_H-M 'P 1 2/c 1'
_symmetry_Int_Tables_number 13
loop_
_symmetry_equiv_pos_as_xyz
'x,y,z'
'-x,-y,-z'
'-x,y,-z+1/2'
'x,-y,z+1/2'
loop_
_atom_site_label
_atom_site_type_symbol
_atom_site_fract_x
_atom_site_fract_y
_atom_site_fract_z
K1 K 0.000 0.204 0.250
Er1 Er 0.500 0.019 0.750
Au1 Au 0.500 0.500 0.000
O1 O 0.295 0.108 0.987
```

Most intense lines, 2θ from 10° to 90°, low angle first:
| 2θ (°) | Rel. int. |
| --- | --- |
| 13.4 | 100 |
| 26.9 | 26 |
| 32.6 | 27 |
| 32.9 | 12 |
| 34.3 | 23 |
| 35.7 | 28 |
| 36.4 | 20 |
| 40.9 | 25 |
| 44.6 | 15 |
| 55.5 | 11 |


[2]
Structure and theoretical powder diffraction line list of BaZn2PN (a PBE-relaxed structure; Cu Kα (λ = 1.5418 Å)).
Lines closer than 0.1° are merged.

Structure:
```
data_BaZn2PN
_cell_length_a 4.010
_cell_length_b 12.278
_cell_length_c 7.661
_cell_angle_alpha 90.00
_cell_angle_beta 90.00
_cell_angle_gamma 90.00
_symmetry_space_group_name_H-M 'C m c m'
_symmetry_Int_Tables_number 63
_symmetry_space_group_name_Hall '-C 2c 2'
loop_
_atom_site_label
_atom_site_type_symbol
_atom_site_fract_x
_atom_site_fract_y
_atom_site_fract_z
Ba1 Ba 0.000 0.056 0.250
Zn1 Zn 0.000 0.351 0.075
P1 P 0.000 0.224 0.750
N1 N 0.000 0.500 0.000
```

Most intense lines, 2θ from 10° to 90°, low angle first:
| 2θ (°) | Rel. int. |
| --- | --- |
| 26.1 | 22 |
| 31.2 | 46 |
| 31.4 | 54 |
| 33.2 | 100 |
| 33.4 | 70 |
| 38.2 | 41 |
| 45.2 | 28 |
| 56.9 | 35 |
| 57.3 | 21 |
| 60.6 | 20 |


[3]
Structure and theoretical powder diffraction line list of LaRh2N (a PBE-relaxed structure; Cu Kα (λ = 1.5418 Å)).
Lines closer than 0.1° are merged.

Structure:
```
data_LaRh2N
_cell_length_a 4.865
_cell_length_b 4.865
_cell_length_c 12.966
_cell_angle_alpha 90.00
_cell_angle_beta 90.00
_cell_angle_gamma 90.00
_symmetry_space_group_name_H-M 'I -4 2 d'
_symmetry_Int_Tables_number 122
_symmetry_space_group_name_Hall 'I -4 2bw'
loop_
_atom_site_label
_atom_site_type_symbol
_atom_site_fract_x
_atom_site_fract_y
_atom_site_fract_z
La1 La 0.000 0.000 0.000
Rh1 Rh 0.066 0.250 0.625
N1 N 0.000 0.000 0.500
```

Most intense lines, 2θ from 10° to 90°, low angle first:
| 2θ (°) | Rel. int. |
| --- | --- |
| 27.6 | 100 |
| 29.4 | 74 |
| 39.4 | 38 |
| 39.6 | 34 |
| 42.1 | 74 |
| 46.7 | 31 |
| 49.8 | 16 |
| 61.0 | 30 |
| 62.0 | 14 |
| 66.3 | 19 |